Theoretical powder diffractogram of Tb5Nd2Tm2 for copper Kα, from a structure optimized by DFT (PBE).

Structural model:
```
Tb5Nd2Tm2
1.0
6.177 0.000 0.000
-3.073 5.360 0.000
-3.081 -1.780 8.743
Tb Nd Tm
5 2 2
Direct
0.000 0.000 0.000 Tb
0.113 0.890 0.670 Tb
0.222 0.777 0.331 Tb
0.778 0.223 0.669 Tb
0.887 0.110 0.330 Tb
0.444 0.556 0.670 Nd
0.556 0.444 0.330 Nd
0.333 0.668 0.000 Tm
0.667 0.332 0.000 Tm
```

Principal peaks in the range 2θ = 5–70°, by intensity:
- hkl 1 1 0, 2θ = 30.66°, d 2.916, rel. 100
- hkl 2 -1 1, 2θ = 35.57°, d 2.524, rel. 67
- hkl 3 -3 2, 2θ = 60.88°, d 1.522, rel. 38
- hkl -2 1 2, 2θ = 30.72°, d 2.911, rel. 33
- hkl 3 0 -2, 2θ = 51.14°, d 1.786, rel. 32
- hkl -3 3 1, 2θ = 51.26°, d 1.782, rel. 16
- hkl 3 0 1, 2θ = 60.77°, d 1.524, rel. 14
- hkl 2 -4 2, 2θ = 63.92°, d 1.456, rel. 12
- hkl -3 3 4, 2θ = 60.97°, d 1.520, rel. 5
- hkl 2 2 0, 2θ = 63.73°, d 1.460, rel. 4